No. 1
# HoHfS4
Simulated X-ray powder pattern, Cu Kα X-rays. Input: a DFT-relaxed cell (GGA-PBE, Alexandria).
Neutral-atom scattering factors, no anomalous dispersion.

Cell and atoms:
```
data_HoHfS4
_chemical_formula_sum 'Ho2 Hf2 S8'
_symmetry_space_group_name_H-M 'P 1'
_symmetry_Int_Tables_number 1
_cell_length_a 8.7557
_cell_length_b 8.8566
_cell_length_c 3.8529
_cell_angle_alpha 90.00
_cell_angle_beta 90.00
_cell_angle_gamma 90.00
loop_
_symmetry_equiv_pos_as_xyz
'x,y,z'
loop_
_atom_site_label
_atom_site_type_symbol
_atom_site_fract_x
_atom_site_fract_y
_atom_site_fract_z
Ho1 Ho 0.0000 0.0000 0.0000
Ho2 Ho 0.5000 0.5000 0.0000
Hf1 Hf 0.0000 0.5000 0.5000
Hf2 Hf 0.5000 0.0000 0.5000
S1 S 0.0000 0.3101 0.0000
S2 S 0.0000 0.6899 0.0000
S3 S 0.2126 0.0000 0.5000
S4 S 0.2874 0.5000 0.5000
S5 S 0.5000 0.1899 0.0000
S6 S 0.5000 0.8101 0.0000
S7 S 0.7126 0.5000 0.5000
S8 S 0.7874 0.0000 0.5000
```

The 6 most intense peaks (2θ from 15° to 90°), sorted by position:
2θ (°), Rel. int.
20.05, 764
20.28, 695
27.22, 1000
39.82, 605
40.07, 519
49.91, 411

***

No. 2
# Ho2HfS5
Simulated X-ray powder pattern, Cu Kα X-rays. Input: a DFT-relaxed cell (GGA-PBE, Alexandria).
Neutral-atom scattering factors, no anomalous dispersion.

Cell and atoms:
```
data_Ho2HfS5
_chemical_formula_sum 'Ho8 Hf4 S20'
_symmetry_space_group_name_H-M 'P 1'
_symmetry_Int_Tables_number 1
_cell_length_a 11.5363
_cell_length_b 7.7061
_cell_length_c 7.2376
_cell_angle_alpha 90.00
_cell_angle_beta 90.00
_cell_angle_gamma 90.00
loop_
_symmetry_equiv_pos_as_xyz
'x,y,z'
loop_
_atom_site_label
_atom_site_type_symbol
_atom_site_fract_x
_atom_site_fract_y
_atom_site_fract_z
Ho1 Ho 0.1791 0.0029 0.0207
Ho2 Ho 0.1791 0.4971 0.0207
Ho3 Ho 0.3209 0.5029 0.5207
Ho4 Ho 0.3209 0.9971 0.5207
Ho5 Ho 0.6791 0.0029 0.4793
Ho6 Ho 0.6791 0.4971 0.4793
Ho7 Ho 0.8209 0.5029 0.9793
Ho8 Ho 0.8209 0.9971 0.9793
Hf1 Hf 0.0056 0.7500 0.5762
Hf2 Hf 0.4944 0.2500 0.0762
Hf3 Hf 0.5056 0.7500 0.9238
Hf4 Hf 0.9944 0.2500 0.4238
S1 S 0.0032 0.7500 0.9474
S2 S 0.0945 0.0364 0.6600
S3 S 0.0945 0.4636 0.6600
S4 S 0.1808 0.7500 0.3311
S5 S 0.2074 0.2500 0.3093
S6 S 0.2926 0.7500 0.8093
S7 S 0.3192 0.2500 0.8311
S8 S 0.4055 0.5364 0.1600
S9 S 0.4055 0.9636 0.1600
S10 S 0.4968 0.2500 0.4474
S11 S 0.5032 0.7500 0.5526
S12 S 0.5945 0.0364 0.8400
S13 S 0.5945 0.4636 0.8400
S14 S 0.6808 0.7500 0.1689
S15 S 0.7074 0.2500 0.1907
S16 S 0.7926 0.7500 0.6907
S17 S 0.8192 0.2500 0.6689
S18 S 0.9055 0.5364 0.3400
S19 S 0.9055 0.9636 0.3400
S20 S 0.9968 0.2500 0.0526
```

The 6 most intense peaks (2θ from 15° to 90°), sorted by position:
2θ (°), Rel. int.
24.60, 493
26.24, 1000
27.34, 667
27.85, 611
37.49, 648
47.63, 464

***

No. 3
# Ho2HfSb3
Simulated X-ray powder pattern, Cu Kα X-rays. Input: a DFT-relaxed cell (GGA-PBE, Alexandria).
Neutral-atom scattering factors, no anomalous dispersion.

Cell and atoms:
```
data_Ho2HfSb3
_chemical_formula_sum 'Ho4 Hf2 Sb6'
_symmetry_space_group_name_H-M 'P 1'
_symmetry_Int_Tables_number 1
_cell_length_a 4.2744
_cell_length_b 4.2744
_cell_length_c 18.0882
_cell_angle_alpha 90.00
_cell_angle_beta 90.00
_cell_angle_gamma 90.00
loop_
_symmetry_equiv_pos_as_xyz
'x,y,z'
loop_
_atom_site_label
_atom_site_type_symbol
_atom_site_fract_x
_atom_site_fract_y
_atom_site_fract_z
Ho1 Ho 0.0000 0.0000 0.1689
Ho2 Ho 0.0000 0.0000 0.8311
Ho3 Ho 0.5000 0.5000 0.3311
Ho4 Ho 0.5000 0.5000 0.6689
Hf1 Hf 0.0000 0.0000 0.5000
Hf2 Hf 0.5000 0.5000 0.0000
Sb1 Sb 0.0000 0.0000 0.0000
Sb2 Sb 0.0000 0.0000 0.3387
Sb3 Sb 0.0000 0.0000 0.6613
Sb4 Sb 0.5000 0.5000 0.1613
Sb5 Sb 0.5000 0.5000 0.5000
Sb6 Sb 0.5000 0.5000 0.8387
```

The 6 most intense peaks (2θ from 15° to 90°), sorted by position:
2θ (°), Rel. int.
29.58, 1000
42.33, 753
52.48, 266
69.57, 229
69.71, 108
77.37, 169

***

No. 4
# Ho14HfSc
Simulated X-ray powder pattern, Cu Kα X-rays. Input: a DFT-relaxed cell (GGA-PBE, Alexandria).
Neutral-atom scattering factors, no anomalous dispersion.

Cell and atoms:
```
data_Ho14HfSc
_chemical_formula_sum 'Ho14 Hf1 Sc1'
_symmetry_space_group_name_H-M 'P 1'
_symmetry_Int_Tables_number 1
_cell_length_a 6.9635
_cell_length_b 6.9635
_cell_length_c 9.8190
_cell_angle_alpha 90.00
_cell_angle_beta 90.00
_cell_angle_gamma 90.00
loop_
_symmetry_equiv_pos_as_xyz
'x,y,z'
loop_
_atom_site_label
_atom_site_type_symbol
_atom_site_fract_x
_atom_site_fract_y
_atom_site_fract_z
Ho1 Ho 0.0000 0.0000 0.0000
Ho2 Ho 0.0000 0.5000 0.0000
Ho3 Ho 0.0000 0.5000 0.5000
Ho4 Ho 0.2465 0.2465 0.2577
Ho5 Ho 0.2465 0.2465 0.7423
Ho6 Ho 0.2465 0.7535 0.2577
Ho7 Ho 0.2465 0.7535 0.7423
Ho8 Ho 0.5000 0.0000 0.0000
Ho9 Ho 0.5000 0.0000 0.5000
Ho10 Ho 0.5000 0.5000 0.0000
Ho11 Ho 0.7535 0.2465 0.2577
Ho12 Ho 0.7535 0.2465 0.7423
Ho13 Ho 0.7535 0.7535 0.2577
Ho14 Ho 0.7535 0.7535 0.7423
Hf1 Hf 0.0000 0.0000 0.5000
Sc1 Sc 0.5000 0.5000 0.5000
```

The 6 most intense peaks (2θ from 15° to 90°), sorted by position:
2θ (°), Rel. int.
31.50, 1000
36.50, 339
36.61, 165
52.63, 353
62.59, 281
62.73, 135

***

No. 5
# HoHf2Sc8
Simulated X-ray powder pattern, Cu Kα X-rays. Input: a DFT-relaxed cell (GGA-PBE, Alexandria).
Neutral-atom scattering factors, no anomalous dispersion.

Cell and atoms:
```
data_HoHf2Sc8
_chemical_formula_sum 'Ho1 Hf2 Sc8'
_symmetry_space_group_name_H-M 'P 1'
_symmetry_Int_Tables_number 1
_cell_length_a 8.6989
_cell_length_b 8.6989
_cell_length_c 5.3802
_cell_angle_alpha 107.18
_cell_angle_beta 107.18
_cell_angle_gamma 122.12
loop_
_symmetry_equiv_pos_as_xyz
'x,y,z'
loop_
_atom_site_label
_atom_site_type_symbol
_atom_site_fract_x
_atom_site_fract_y
_atom_site_fract_z
Ho1 Ho 0.0000 0.0000 0.0000
Hf1 Hf 0.3099 0.6901 0.5000
Hf2 Hf 0.6901 0.3099 0.5000
Sc1 Sc 0.0956 0.3551 0.7047
Sc2 Sc 0.2074 0.7926 0.0000
Sc3 Sc 0.3551 0.0956 0.7047
Sc4 Sc 0.4602 0.4602 0.2262
Sc5 Sc 0.5398 0.5398 0.7738
Sc6 Sc 0.6449 0.9044 0.2953
Sc7 Sc 0.7926 0.2074 0.0000
Sc8 Sc 0.9044 0.6449 0.2953
```

The 6 most intense peaks (2θ from 15° to 90°), sorted by position:
2θ (°), Rel. int.
22.01, 544
23.93, 625
31.59, 529
32.64, 536
33.83, 1000
35.82, 647

***

No. 6
# Ho4HfSc6
Simulated X-ray powder pattern, Cu Kα X-rays. Input: a DFT-relaxed cell (GGA-PBE, Alexandria).
Neutral-atom scattering factors, no anomalous dispersion.

Cell and atoms:
```
data_Ho4HfSc6
_chemical_formula_sum 'Ho8 Hf2 Sc12'
_symmetry_space_group_name_H-M 'P 1'
_symmetry_Int_Tables_number 1
_cell_length_a 8.3836
_cell_length_b 8.3836
_cell_length_c 8.2547
_cell_angle_alpha 90.00
_cell_angle_beta 90.00
_cell_angle_gamma 90.00
loop_
_symmetry_equiv_pos_as_xyz
'x,y,z'
loop_
_atom_site_label
_atom_site_type_symbol
_atom_site_fract_x
_atom_site_fract_y
_atom_site_fract_z
Ho1 Ho 0.1491 0.3509 0.2500
Ho2 Ho 0.1491 0.3509 0.7500
Ho3 Ho 0.3509 0.8509 0.2500
Ho4 Ho 0.3509 0.8509 0.7500
Ho5 Ho 0.6491 0.1491 0.2500
Ho6 Ho 0.6491 0.1491 0.7500
Ho7 Ho 0.8509 0.6491 0.2500
Ho8 Ho 0.8509 0.6491 0.7500
Hf1 Hf 0.0000 0.0000 0.0000
Hf2 Hf 0.5000 0.5000 0.5000
Sc1 Sc 0.0000 0.0000 0.3339
Sc2 Sc 0.0000 0.0000 0.6661
Sc3 Sc 0.1510 0.6513 0.0000
Sc4 Sc 0.1513 0.6510 0.5000
Sc5 Sc 0.3487 0.1510 0.0000
Sc6 Sc 0.3490 0.1513 0.5000
Sc7 Sc 0.5000 0.5000 0.1661
Sc8 Sc 0.5000 0.5000 0.8339
Sc9 Sc 0.6513 0.8490 0.0000
Sc10 Sc 0.6510 0.8487 0.5000
Sc11 Sc 0.8490 0.3487 0.0000
Sc12 Sc 0.8487 0.3490 0.5000
```

The 6 most intense peaks (2θ from 15° to 90°), sorted by position:
2θ (°), Rel. int.
23.73, 340
26.31, 180
32.26, 1000
33.81, 594
56.51, 175
63.91, 208

***

No. 7
# HoHfSc4
Simulated X-ray powder pattern, Cu Kα X-rays. Input: a DFT-relaxed cell (GGA-PBE, Alexandria).
Neutral-atom scattering factors, no anomalous dispersion.

Cell and atoms:
```
data_HoHfSc4
_chemical_formula_sum 'Ho2 Hf2 Sc8'
_symmetry_space_group_name_H-M 'P 1'
_symmetry_Int_Tables_number 1
_cell_length_a 5.1722
_cell_length_b 3.3155
_cell_length_c 17.4755
_cell_angle_alpha 90.00
_cell_angle_beta 90.00
_cell_angle_gamma 90.00
loop_
_symmetry_equiv_pos_as_xyz
'x,y,z'
loop_
_atom_site_label
_atom_site_type_symbol
_atom_site_fract_x
_atom_site_fract_y
_atom_site_fract_z
Ho1 Ho 0.0000 0.0000 0.0000
Ho2 Ho 0.0000 0.5000 0.5000
Hf1 Hf 0.5000 0.0000 0.7774
Hf2 Hf 0.5000 0.5000 0.2774
Sc1 Sc 0.0000 0.0000 0.3291
Sc2 Sc 0.0000 0.0000 0.6708
Sc3 Sc 0.0000 0.5000 0.1708
Sc4 Sc 0.0000 0.5000 0.8291
Sc5 Sc 0.5000 0.0000 0.1171
Sc6 Sc 0.5000 0.0000 0.4351
Sc7 Sc 0.5000 0.5000 0.6171
Sc8 Sc 0.5000 0.5000 0.9351
```

The 6 most intense peaks (2θ from 15° to 90°), sorted by position:
2θ (°), Rel. int.
19.95, 647
20.33, 260
31.04, 253
34.69, 365
35.37, 518
35.67, 1000

***

No. 8
# Ho3HfSi6
Simulated X-ray powder pattern, Cu Kα X-rays. Input: a DFT-relaxed cell (GGA-PBE, Alexandria).
Neutral-atom scattering factors, no anomalous dispersion.

Cell and atoms:
```
data_Ho3HfSi6
_chemical_formula_sum 'Ho6 Hf2 Si12'
_symmetry_space_group_name_H-M 'P 1'
_symmetry_Int_Tables_number 1
_cell_length_a 7.3579
_cell_length_b 7.3579
_cell_length_c 7.3579
_cell_angle_alpha 97.33
_cell_angle_beta 97.33
_cell_angle_gamma 97.33
loop_
_symmetry_equiv_pos_as_xyz
'x,y,z'
loop_
_atom_site_label
_atom_site_type_symbol
_atom_site_fract_x
_atom_site_fract_y
_atom_site_fract_z
Ho1 Ho 0.1851 0.7500 0.3149
Ho2 Ho 0.2500 0.6851 0.8149
Ho3 Ho 0.3149 0.1851 0.7500
Ho4 Ho 0.6851 0.8149 0.2500
Ho5 Ho 0.7500 0.3149 0.1851
Ho6 Ho 0.8149 0.2500 0.6851
Hf1 Hf 0.0000 0.0000 0.0000
Hf2 Hf 0.5000 0.5000 0.5000
Si1 Si 0.0161 0.0902 0.3748
Si2 Si 0.0902 0.3748 0.0161
Si3 Si 0.1252 0.4098 0.4839
Si4 Si 0.3748 0.0161 0.0902
Si5 Si 0.4098 0.4839 0.1252
Si6 Si 0.4839 0.1252 0.4098
Si7 Si 0.5161 0.8748 0.5902
Si8 Si 0.5902 0.5161 0.8748
Si9 Si 0.6252 0.9839 0.9098
Si10 Si 0.8748 0.5902 0.5161
Si11 Si 0.9098 0.6252 0.9839
Si12 Si 0.9839 0.9098 0.6252
```

The 6 most intense peaks (2θ from 15° to 90°), sorted by position:
2θ (°), Rel. int.
18.61, 767
29.24, 480
29.56, 457
34.77, 1000
37.63, 945
37.73, 840